# 1
# Mg5Si9
Computed X-ray powder pattern, λ = 1.5418 Å (Cu Kα). Input: a cell relaxed with GGA-PBE.

Atomic structure:
abc: 6.798 7.064 12.737
angles: 79.09 85.48 63.18
Space group P1 (No. 1)
One atom of each set of equivalent atoms:
Mg 0.000 0.000 0.000 (multiplicity 1)
Mg 0.014 0.989 0.413 (multiplicity 1)
Mg 0.195 0.442 0.451 (multiplicity 1)
Mg 0.268 0.622 0.898 (multiplicity 1)
Mg 0.451 0.190 0.071 (multiplicity 1)
Mg 0.545 0.212 0.642 (multiplicity 1)
Mg 0.637 0.625 0.124 (multiplicity 1)
Mg 0.800 0.822 0.268 (multiplicity 1)
Mg 0.855 0.519 0.905 (multiplicity 1)
Mg 0.889 0.715 0.626 (multiplicity 1)
Si 0.067 0.282 0.241 (multiplicity 1)
Si 0.092 0.567 0.111 (multiplicity 1)
Si 0.111 0.970 0.675 (multiplicity 1)
Si 0.243 0.651 0.251 (multiplicity 1)
Si 0.283 0.242 0.841 (multiplicity 1)
Si 0.304 0.675 0.577 (multiplicity 1)
Si 0.363 0.922 0.245 (multiplicity 1)
Si 0.433 0.883 0.947 (multiplicity 1)
Si 0.462 0.893 0.755 (multiplicity 1)
Si 0.480 0.793 0.428 (multiplicity 1)
Si 0.567 0.315 0.314 (multiplicity 1)
Si 0.592 0.043 0.465 (multiplicity 1)
Si 0.625 0.527 0.695 (multiplicity 1)
Si 0.644 0.258 0.850 (multiplicity 1)
Si 0.780 0.449 0.393 (multiplicity 1)
Si 0.805 0.200 0.165 (multiplicity 1)
Si 0.863 0.904 0.807 (multiplicity 1)
Si 0.912 0.325 0.575 (multiplicity 1)

Largest 12 diffraction maxima, in order of falling intensity, 10 to 90 degrees two-theta:
2θ (°)	Rel. int.
32.63	100.0
34.56	59.4
35.95	57.0
37.12	53.5
30.31	48.5
42.13	46.5
40.10	45.2
41.15	45.0
34.40	44.6
31.08	42.7
36.50	41.4
38.40	38.5


# 2
# CsMgAsH12O10
Computed X-ray powder pattern, λ = 1.5418 Å (Cu Kα). Input: a cell relaxed with GGA-PBE.

Atomic structure:
abc: 10.276 10.276 10.276
angles: 90.00 90.00 90.00
Space group F-43m (No. 216)
One atom of each set of equivalent atoms:
Cs 0.000 0.000 0.000 (multiplicity 4)
Mg 0.250 0.250 0.750 (multiplicity 4)
As 0.000 0.000 0.500 (multiplicity 4)
H 0.011 0.193 0.307 (multiplicity 48)
O 0.045 0.250 0.750 (multiplicity 24)
O 0.097 0.097 0.403 (multiplicity 16)

Largest 12 diffraction maxima, in order of falling intensity, 10 to 90 degrees two-theta:
2θ (°)	Rel. int.
24.50	100.0
30.12	73.9
17.26	65.5
43.12	36.2
34.92	32.5
50.22	32.3
68.30	27.6
39.20	26.0
56.65	21.5
53.50	20.2
28.81	18.9
59.68	17.7